This entry pairs a crystal structure of Be3Fe4Si3TeO12 with its calculated powder diffractogram. Radiation: Cu Kα, 1.54184 Å. Structure: a PBE+U-relaxed structure.
Neutral-atom scattering factors, no anomalous dispersion.

Peak list (8 most intense, 10° ≤ 2θ ≤ 80°, by angle)
(1 1 0), 14.83 deg, I 16; (2 1 1), 25.84 deg, I 100; (2 2 0), 29.93 deg, I 22; (3 2 1), 39.94 deg, I 41; (3 3 0), 45.57 deg, I 57; (5 1 0), 55.48 deg, I 11; (6 0 0), 66.42 deg, I 12; (5 3 2), 68.49 deg, I 23

Crystal structure
```
data_Be3Fe4Si3TeO12
_symmetry_space_group_name_H-M 'P -4 3 n'
_symmetry_Int_Tables_number 218
_symmetry_space_group_name_Hall 'P -4n 2 3'
_cell_length_a 8.445
_cell_length_b 8.445
_cell_length_c 8.445
_cell_angle_alpha 90.00
_cell_angle_beta 90.00
_cell_angle_gamma 90.00
loop_
_atom_site_label
_atom_site_fract_x
_atom_site_fract_y
_atom_site_fract_z
Be1 0.000 0.250 0.500
Fe1 0.185 0.185 0.185
Si1 0.000 0.500 0.250
Te1 0.000 0.000 0.000
O1 0.077 0.356 0.641
```